Fe6O5F: theoretical powder diffractogram (copper Kα), based on a structure optimized by DFT (PBE+U).
Intensities are scaled so that the largest is 100.

Atomic structure:
abc: 5.343 5.456 5.479
angles: 69.97 78.16 61.83
Space group P-1 (No. 2)
Symmetry-distinct sites (fractional):
Fe (0.010, 0.256, 0.257)
Fe (0.346, 0.090, 0.740)
Fe (0.348, 0.565, 0.260)
O (0.000, 0.500, 0.500)
O (0.316, 0.843, 0.525)
O (0.336, 0.322, 0.991)
F (0.000, 0.000, 0.000)

Peak list (10 most intense, 10 to 90 degrees two-theta, in order of falling intensity)
index  2theta  I_rel
1 -1 1  39.27  100
1 2 2  40.27  92
1 2 0  35.05  84
2 1 -1  42.17  79
0 3 1  57.51  55
-1 1 1  34.83  45
0 0 2  34.90  44
3 0 0  58.91  25
1 2 -2  59.07  25
-1 1 3  59.48  25